# 1
Calculated powder diffractogram
Compound: NiHgHPb2
Radiation: CuKα
Structure: the GGA-PBE geometry in Alexandria

The 12 most intense peaks (2θ = 5–70°), low angle first:
| index | Position (°2θ) | intensity |
| --- | --- | --- |
| 1 0 0 | 16.5 | 19.2 |
| 1 1 0 | 23.5 | 9.9 |
| 0 0 1 | 27.6 | 12.8 |
| 1 0 1 | 32.4 | 32.3 |
| 2 0 0 | 33.5 | 97.1 |
| 1 1 1 | 36.6 | 100.0 |
| 2 0 1 | 43.9 | 15.0 |
| 2 1 1 | 47.2 | 22.7 |
| 2 2 0 | 48.0 | 35.7 |
| 0 0 2 | 57.0 | 10.7 |
| 3 1 1 | 61.8 | 45.2 |
| 2 0 2 | 67.8 | 25.8 |

Cell and atoms:
a = 5.3571 Å, b = 5.3571 Å, c = 3.2290 Å
α = 90.00°, β = 90.00°, γ = 90.00°
Space group P4/mmm (No. 123)
Asymmetric unit:
1 Ni 0.0000 0.0000 0.0000 (multiplicity 1)
2 Hg 0.5000 0.5000 0.5000 (multiplicity 1)
3 H 0.0000 0.0000 0.5000 (multiplicity 1)
4 Pb 0.0000 0.5000 0.0000 (multiplicity 2)


# 2
Calculated powder diffractogram
Compound: Sr2NiHg2H4
Radiation: CuKα
Structure: the GGA-PBE geometry in Alexandria

The 12 most intense peaks (2θ = 5–70°), low angle first:
| index | Position (°2θ) | intensity |
| --- | --- | --- |
| 1 0 1 | 18.0 | 22.2 |
| 1 1 0 | 20.2 | 47.1 |
| 0 0 2 | 21.9 | 23.4 |
| 2 0 0 | 28.7 | 100.0 |
| 1 0 3 | 36.3 | 58.5 |
| 2 0 2 | 36.4 | 28.2 |
| 2 2 0 | 41.1 | 39.3 |
| 2 1 3 | 46.9 | 56.1 |
| 2 2 2 | 47.1 | 13.3 |
| 3 0 3 | 56.0 | 16.5 |
| 3 2 3 | 64.1 | 22.4 |
| 4 2 0 | 67.4 | 18.1 |

Cell and atoms:
a = 6.2129 Å, b = 6.2129 Å, c = 8.1009 Å
α = 90.00°, β = 90.00°, γ = 90.00°
Space group I4/mmm (No. 139)
Asymmetric unit:
1 Sr 0.0000 0.5000 0.2500 (multiplicity 4)
2 Ni 0.0000 0.0000 0.0000 (multiplicity 2)
3 Hg 0.0000 0.0000 0.3306 (multiplicity 4)
4 H 0.1846 0.1846 0.0000 (multiplicity 8)